1.
Theoretical powder XRD pattern of Ba8Y3LuCu16O32 for λ = 1.5418 Å (Cu Kα), from the PBE geometry in the Materials Project.

Structural model:
```
data_Ba8Y3LuCu16O32
_chemical_formula_sum 'Ba8 Y3 Lu1 Cu16 O32'
_space_group_name_H-M_alt 'P m m m'
_space_group_IT_number 47
_cell_length_a 3.8875
_cell_length_b 3.8903
_cell_length_c 54.9910
_cell_angle_alpha 90.00
_cell_angle_beta 90.00
_cell_angle_gamma 90.00
loop_
_space_group_symop_operation_xyz
'x,y,z'
'-x,-y,-z'
'-x,-y,z'
'x,y,-z'
'x,-y,-z'
'-x,y,z'
'-x,y,-z'
'x,-y,z'
loop_
_atom_site_label
_atom_site_fract_x
_atom_site_fract_y
_atom_site_fract_z
Ba1 0.0000 0.0000 0.0678
Ba2 0.0000 0.0000 0.4324
Ba3 0.0000 0.5000 0.1822
Ba4 0.0000 0.5000 0.3178
Y1 0.0000 0.0000 0.0000
Y2 0.0000 0.5000 0.2500
Lu1 0.0000 0.0000 0.5000
Cu1 0.5000 0.0000 0.1438
Cu2 0.5000 0.0000 0.2192
Cu3 0.5000 0.0000 0.2807
Cu4 0.5000 0.0000 0.3562
Cu5 0.5000 0.5000 0.0308
Cu6 0.5000 0.5000 0.1062
Cu7 0.5000 0.5000 0.3939
Cu8 0.5000 0.5000 0.4698
O1 0.0000 0.0000 0.2238
O2 0.0000 0.0000 0.2762
O3 0.0000 0.5000 0.0262
O4 0.0000 0.5000 0.4748
O5 0.5000 0.0000 0.0260
O6 0.5000 0.0000 0.1093
O7 0.5000 0.0000 0.1774
O8 0.5000 0.0000 0.3226
O9 0.5000 0.0000 0.3907
O10 0.5000 0.0000 0.4750
O11 0.5000 0.5000 0.0726
O12 0.5000 0.5000 0.1407
O13 0.5000 0.5000 0.2240
O14 0.5000 0.5000 0.2760
O15 0.5000 0.5000 0.3594
O16 0.5000 0.5000 0.4275
```

The 12 most intense peaks (2θ = 10–80°), by angle:
26.3°, intensity 27; 30.1°, intensity 39; 32.4°, intensity 100; 32.7°, intensity 98; 34.0°, intensity 21; 34.8°, intensity 67; 46.2°, intensity 21; 46.7°, intensity 68; 58.0°, intensity 38; 59.6°, intensity 28; 60.7°, intensity 31; 67.8°, intensity 24

***

2.
Theoretical powder XRD pattern of BaMg6Cu for λ = 1.5418 Å (Cu Kα), from the PBE geometry in the Materials Project.

Structural model:
```
data_BaMg6Cu
_chemical_formula_sum 'Ba2 Mg12 Cu2'
_space_group_name_H-M_alt 'A m m 2'
_space_group_IT_number 38
_cell_length_a 4.9894
_cell_length_b 6.0833
_cell_length_c 14.0188
_cell_angle_alpha 90.00
_cell_angle_beta 90.00
_cell_angle_gamma 90.00
loop_
_space_group_symop_operation_xyz
'x,y,z'
'-x,-y,z'
'-x,y,z'
'x,-y,z'
'x,y+1/2,z+1/2'
'-x,-y+1/2,z+1/2'
'-x,y+1/2,z+1/2'
'x,-y+1/2,z+1/2'
loop_
_atom_site_label
_atom_site_fract_x
_atom_site_fract_y
_atom_site_fract_z
Ba1 0.0000 0.0000 0.0000
Mg1 0.0000 0.2433 0.7358
Mg2 0.5000 0.0000 0.1671
Mg3 0.5000 0.0000 0.5832
Mg4 0.5000 0.2407 0.3671
Cu1 0.0000 0.0000 0.3913
```

The 12 most intense peaks (2θ = 10–80°), by angle:
12.6°, intensity 52; 15.9°, intensity 39; 17.8°, intensity 45; 21.9°, intensity 32; 24.0°, intensity 80; 30.0°, intensity 100; 31.2°, intensity 42; 32.1°, intensity 40; 35.2°, intensity 44; 36.0°, intensity 45; 36.9°, intensity 88; 49.0°, intensity 34

***

3.
Theoretical powder XRD pattern of BaMg6Cu for λ = 1.5418 Å (Cu Kα), from the PBE geometry in the Materials Project.

Structural model:
```
data_BaMg6Cu
_chemical_formula_sum 'Ba2 Mg12 Cu2'
_space_group_name_H-M_alt 'A m m 2'
_space_group_IT_number 38
_cell_length_a 4.8817
_cell_length_b 6.2136
_cell_length_c 13.8357
_cell_angle_alpha 90.00
_cell_angle_beta 90.00
_cell_angle_gamma 90.00
loop_
_space_group_symop_operation_xyz
'x,y,z'
'-x,-y,z'
'-x,y,z'
'x,-y,z'
'x,y+1/2,z+1/2'
'-x,-y+1/2,z+1/2'
'-x,y+1/2,z+1/2'
'x,-y+1/2,z+1/2'
loop_
_atom_site_label
_atom_site_fract_x
_atom_site_fract_y
_atom_site_fract_z
Ba1 0.0000 0.0000 0.0000
Mg1 0.0000 0.0000 0.4150
Mg2 0.0000 0.2480 0.7153
Mg3 0.5000 0.0000 0.5931
Mg4 0.5000 0.2478 0.8390
Cu1 0.5000 0.0000 0.1778
```

The 12 most intense peaks (2θ = 10–80°), by angle:
15.6°, intensity 98; 22.3°, intensity 60; 24.1°, intensity 57; 30.3°, intensity 100; 31.6°, intensity 41; 31.7°, intensity 52; 35.5°, intensity 42; 36.7°, intensity 95; 36.8°, intensity 43; 40.2°, intensity 29; 49.3°, intensity 27; 52.1°, intensity 42

***

4.
Theoretical powder XRD pattern of BaMgCu3O4 for λ = 1.5418 Å (Cu Kα), from the PBE geometry in the Materials Project.

Structural model:
```
data_BaMgCu3O4
_chemical_formula_sum 'Ba2 Mg2 Cu6 O8'
_space_group_name_H-M_alt 'A m m 2'
_space_group_IT_number 38
_cell_length_a 5.7834
_cell_length_b 5.6807
_cell_length_c 11.2979
_cell_angle_alpha 90.00
_cell_angle_beta 90.00
_cell_angle_gamma 90.00
loop_
_space_group_symop_operation_xyz
'x,y,z'
'-x,-y,z'
'-x,y,z'
'x,-y,z'
'x,y+1/2,z+1/2'
'-x,-y+1/2,z+1/2'
'-x,y+1/2,z+1/2'
'x,-y+1/2,z+1/2'
loop_
_atom_site_label
_atom_site_fract_x
_atom_site_fract_y
_atom_site_fract_z
Ba1 0.0000 0.0000 0.0000
Mg1 0.5000 0.0000 0.9995
Cu1 0.5000 0.0000 0.2530
Cu2 0.5000 0.0000 0.4997
Cu3 0.5000 0.0000 0.7461
O1 0.5000 0.2419 0.1216
O2 0.5000 0.2423 0.8776
```

The 12 most intense peaks (2θ = 10–80°), by angle:
15.3°, intensity 70; 22.0°, intensity 55; 23.3°, intensity 100; 30.9°, intensity 76; 31.5°, intensity 34; 31.7°, intensity 33; 32.5°, intensity 40; 38.8°, intensity 27; 44.7°, intensity 26; 44.9°, intensity 26; 45.3°, intensity 49; 55.8°, intensity 50